Starting from a GGA+U-relaxed structure, the PXRD pattern of Mn3O2F4 was simulated for a wavelength of 1.5418 Å.
Lines closer than 0.1° are merged.

Structural model:
Cell: 4.8004 5.7415 7.9674 Å, 87.14 87.97 89.30°
Atoms (fractional coordinates):
1 Mn 0.0000 0.0000 0.0000
2 Mn 0.0132 0.3172 0.6699
3 Mn 0.0618 0.6611 0.3255
4 Mn 0.4725 0.1620 0.3431
5 Mn 0.5038 0.8158 0.6476
6 Mn 0.5214 0.4986 0.0007
7 O 0.1903 0.7189 0.0972
8 O 0.2071 0.3572 0.4482
9 O 0.3108 0.8727 0.4279
10 O 0.8283 0.2813 0.8927
11 F 0.2177 0.0174 0.7711
12 F 0.2978 0.2066 0.0999
13 F 0.3131 0.5158 0.7645
14 F 0.6980 0.4535 0.2472
15 F 0.7139 0.7935 0.8832
16 F 0.7193 0.1277 0.5696
17 F 0.7797 0.9774 0.2302
18 F 0.8347 0.6298 0.5550

Main lines, in order of falling intensity (2θ = 15–90°):
- hkl 1 1 1, 2θ 25.97, d = 3.432 Å, rel. 100
- hkl -1 1 1, 2θ 26.76, d = 3.332 Å, rel. 100
- hkl 0 2 -1, 2θ 33.78, d = 2.653 Å, rel. 54
- hkl 1 3 0, 2θ 51.27, d = 1.782 Å, rel. 32
- hkl 1 -1 2, 2θ 33.35, d = 2.686 Å, rel. 31
- hkl -1 1 4, 2θ 52.29, d = 1.750 Å, rel. 28
- hkl 1 1 -2, 2θ 34.07, d = 2.632 Å, rel. 24
- hkl 0 2 -4, 2θ 57.72, d = 1.597 Å, rel. 21
- hkl 1 2 -1, 2θ 38.76, d = 2.323 Å, rel. 21
- hkl 2 2 2, 2θ 53.40, d = 1.716 Å, rel. 20